For NiP2, a GGA-PBE-relaxed structure gives the computed X-ray diffraction stick pattern in this record (a wavelength of 1.5418 Å).
Lines closer than 0.1° are merged.

```
NiP2
1.0
3.171 0.000 0.000
0.000 6.678 0.000
0.000 0.000 7.761
Ni P
4 8
Cartesian
0.000 0.000 0.000
0.000 3.339 3.881
1.585 0.000 3.881
1.585 3.339 0.000
0.000 1.360 2.756
0.000 1.978 6.636
0.000 4.699 1.125
0.000 5.317 5.006
1.585 1.360 1.125
1.585 1.978 5.006
1.585 4.699 2.756
1.585 5.317 6.636
```

The 12 most intense peaks (15° ≤ 2θ ≤ 90°), sorted by position:
hkl, d (Å), two_theta, Rel. int.
0 0 2, 3.881, 22.92, 54.0
0 2 1, 3.067, 29.11, 17.9
1 1 1, 2.687, 33.34, 100.0
0 2 2, 2.531, 35.47, 86.2
1 1 2, 2.305, 39.09, 67.5
1 1 3, 1.920, 47.35, 79.0
1 3 1, 1.774, 51.53, 80.3
0 2 4, 1.678, 54.72, 45.3
2 0 0, 1.585, 58.19, 24.5
2 2 2, 1.344, 70.03, 20.7
2 2 4, 1.152, 83.99, 25.3
1 5 3, 1.111, 87.83, 27.9